Calculated powder diffraction line list
Compound: Li2Mn5O10
Radiation: Cu Kα, 1.54184 Å
Structure: a cell relaxed with GGA+U

Peak list (12 most intense, 2θ = 10–90°, in order of rising 2θ)
index  2θ (°)  I/Imax
0 0 1  12.78  48.7
0 1 -1  17.74  100.0
1 0 0  18.72  25.8
1 -1 0  22.07  21.4
0 1 1  26.19  12.4
1 0 -2  27.42  18.1
2 0 -1  36.57  12.1
-1 2 1  41.79  40.1
1 -1 3  43.35  36.3
2 1 -2  44.50  34.8
3 0 1  63.93  13.8
-3 1 3  64.13  12.4

Unit cell a=5.037 b=5.396 c=7.653 alpha=109.75 beta=100.47 gamma=101.98
Space group P-1 (No. 2)
Inequivalent atoms, fractional coordinates:
Li (0.044, 0.263, 0.409) [2 per cell]
Mn (0.194, 0.394, 0.891) [2 per cell]
Mn (0.399, 0.792, 0.315) [2 per cell]
Mn (0.500, 0.000, 0.000) [1 per cell]
O (0.043, 0.606, 0.332) [2 per cell]
O (0.163, 0.755, 0.059) [2 per cell]
O (0.274, 0.060, 0.770) [2 per cell]
O (0.386, 0.153, 0.444) [2 per cell]
O (0.450, 0.428, 0.141) [2 per cell]